For K6CoF8, a PBE+U-relaxed structure gives the calculated PXRD pattern in this record (Cu Ka).

Peak list (10 most intense, 10° ≤ 2θ ≤ 80°, by angle)
2θ = 14.33°, intensity 33
2θ = 17.38°, intensity 28
2θ = 28.82°, intensity 100
2θ = 35.17°, intensity 23
2θ = 35.64°, intensity 37
2θ = 37.11°, intensity 35
2θ = 40.03°, intensity 43
2θ = 42.32°, intensity 61
2θ = 46.29°, intensity 30
2θ = 50.07°, intensity 31

Crystal structure
```
K6CoF8
1.0
3.902 2.253 5.103
-3.902 2.253 5.103
0.000 -4.505 5.103
K Co F
6 1 8
direct
0.015 0.795 0.440
0.205 0.560 0.985
0.440 0.015 0.795
0.560 0.985 0.205
0.795 0.440 0.015
0.985 0.205 0.560
0.500 0.500 0.500
0.157 0.157 0.157
0.206 0.410 0.648
0.352 0.794 0.590
0.410 0.648 0.206
0.590 0.352 0.794
0.648 0.206 0.410
0.794 0.590 0.352
0.843 0.843 0.843
```